Structure and theoretical PXRD pattern of MgH6Pd3 (a structure optimized by DFT (GGA-PBE); Cu Kα (λ = 1.5418 Å)).
Neutral-atom scattering factors, no anomalous dispersion.

```
MgH6Pd3
1.0
4.870 0.000 0.000
2.396 4.281 0.000
2.374 0.516 4.295
Mg H Pd
1 6 3
direct
0.000 0.000 0.000 Mg
0.117 0.910 0.551 H
0.387 0.540 0.088 H
0.394 0.296 0.558 H
0.533 0.997 0.042 H
0.752 0.560 0.554 H
0.963 0.420 0.085 H
0.182 0.279 0.338 Pd
0.532 0.621 0.302 Pd
0.702 0.918 0.641 Pd
```

Top 10 peaks for 2θ from 5° to 70°, low angle first:
d_spacing	I_rel
4.295	62
3.706	27
3.219	29
2.855	22
2.455	20
2.435	100
2.410	46
2.317	29
2.297	54
2.291	24



Structure and theoretical PXRD pattern of Ni5Se8 (a structure optimized by DFT (GGA-PBE); Cu Kα (λ = 1.5418 Å)).
Neutral-atom scattering factors, no anomalous dispersion.

```
Ni5Se8
1.0
0.000 4.981 4.981
4.981 0.000 4.981
4.981 4.981 0.000
Ni Se
5 8
direct
0.000 0.000 0.000 Ni
0.134 0.622 0.622 Ni
0.622 0.134 0.622 Ni
0.622 0.622 0.134 Ni
0.622 0.622 0.622 Ni
0.384 0.384 0.384 Se
0.384 0.384 0.849 Se
0.384 0.849 0.384 Se
0.403 0.866 0.866 Se
0.849 0.384 0.384 Se
0.866 0.403 0.866 Se
0.866 0.866 0.403 Se
0.866 0.866 0.866 Se
```

Top 10 peaks for 2θ from 5° to 70°, low angle first:
d_spacing	I_rel
5.752	35
3.004	28
2.876	41
2.491	100
1.917	25
1.761	88
1.684	7
1.502	15
1.438	21
1.395	7